1.
GdZrS2I2: calculated XRD peak list (Cu Kα (λ = 1.5418 Å)), based on a crystal structure in OQMD, relaxed with GGA-PBE.
Kinematic intensities with the Lorentz-polarization factor, no thermal factor.

Crystal structure
abc: 4.0504 5.2854 9.2870
angles: 90.00 90.00 90.00
Fractional coordinates of all 6 atoms:
Gd1 0.0000 0.0000 0.0000
Zr1 0.5000 0.5000 0.7925
S1 0.0000 0.5000 0.9654
S2 0.5000 0.0000 0.7958
I1 0.0000 0.5000 0.5586
I2 0.5000 0.0000 0.2476

Principal peaks in the range 10 to 80 degrees two-theta, by angle:
2θ 19.32, rel. 100
2θ 29.26, rel. 96
2θ 29.40, rel. 54
2θ 33.92, rel. 47
2θ 40.45, rel. 32
2θ 45.39, rel. 56

***

2.
ThZr2F12: calculated XRD peak list (Cu Kα (λ = 1.5418 Å)), based on a crystal structure in OQMD, relaxed with GGA-PBE.
Kinematic intensities with the Lorentz-polarization factor, no thermal factor.

Crystal structure
abc: 8.0720 8.0720 7.7660
angles: 118.50 118.50 79.22
Fractional coordinates of all 30 atoms:
Th1 0.2229 0.7771 0.0000
Th2 0.7771 0.2229 0.0000
Zr1 0.1869 0.1869 0.5698
Zr2 0.3492 0.3492 0.2252
Zr3 0.6508 0.6508 0.7748
Zr4 0.8131 0.8131 0.4302
F1 0.0000 0.0000 0.0000
F2 0.0000 0.0000 0.5000
F3 0.0611 0.3691 0.1115
F4 0.0716 0.7822 0.6628
F5 0.1623 0.4677 0.7137
F6 0.2183 0.2183 0.8628
F7 0.2178 0.9284 0.3372
F8 0.2844 0.2844 0.4232
F9 0.3130 0.5602 0.1337
F10 0.3691 0.0611 0.1115
F11 0.3817 0.6183 0.5000
F12 0.4398 0.6870 0.8663
F13 0.4677 0.1623 0.7137
F14 0.5323 0.8377 0.2863
F15 0.5602 0.3130 0.1337
F16 0.6183 0.3817 0.5000
F17 0.6309 0.9389 0.8885
F18 0.6870 0.4398 0.8663
F19 0.7156 0.7156 0.5768
F20 0.7822 0.0716 0.6628
F21 0.7817 0.7817 0.1372
F22 0.8377 0.5323 0.2863
F23 0.9284 0.2178 0.3372
F24 0.9389 0.6309 0.8885

Principal peaks in the range 10 to 80 degrees two-theta, by angle:
2θ 14.58, rel. 40
2θ 22.64, rel. 100
2θ 23.25, rel. 20
2θ 25.14, rel. 43
2θ 26.12, rel. 18
2θ 46.47, rel. 24

***

3.
Si2Os3C12Cl6O12: calculated XRD peak list (Cu Kα (λ = 1.5418 Å)), based on a crystal structure in OQMD, relaxed with GGA-PBE.
Kinematic intensities with the Lorentz-polarization factor, no thermal factor.

Crystal structure
abc: 8.1916 8.3159 11.3010
angles: 80.36 69.97 66.38
Fractional coordinates of all 35 atoms:
Si1 0.2217 0.3674 0.1344
Si2 0.7783 0.6326 0.8656
Os1 0.3573 0.1981 0.2948
Os2 0.5000 0.0000 0.5000
Os3 0.6427 0.8019 0.7052
C1 0.1118 0.2886 0.4192
C2 0.2791 0.9390 0.5672
C3 0.2989 0.0002 0.2750
C4 0.3716 0.2099 0.5995
C5 0.3918 0.9001 0.8256
C6 0.4196 0.3880 0.3249
C7 0.5804 0.6120 0.6751
C8 0.6082 0.0999 0.1744
C9 0.6284 0.7901 0.4005
C10 0.7011 0.9998 0.7250
C11 0.7209 0.0610 0.4328
C12 0.8882 0.7114 0.5808
Cl1 0.0073 0.6821 0.8641
Cl2 0.1299 0.6357 0.1523
Cl3 0.4012 0.3187 0.9524
Cl4 0.5988 0.6813 0.0476
Cl5 0.8701 0.3643 0.8477
Cl6 0.9927 0.3179 0.1359
O1 0.0342 0.6600 0.5066
O2 0.1466 0.9035 0.6054
O3 0.2445 0.9566 0.8968
O4 0.2595 0.8847 0.2670
O5 0.2958 0.3359 0.6574
O6 0.4563 0.4992 0.3447
O7 0.5437 0.5008 0.6553
O8 0.7042 0.6641 0.3426
O9 0.7405 0.1153 0.7330
O10 0.7555 0.0434 0.1032
O11 0.8534 0.0965 0.3946
O12 0.9658 0.3400 0.4934

Principal peaks in the range 10 to 80 degrees two-theta, by angle:
2θ 12.38, rel. 35
2θ 13.48, rel. 100
2θ 14.08, rel. 76
2θ 16.94, rel. 43
2θ 21.85, rel. 22
2θ 29.47, rel. 35

***

4.
Ho2ErIn3CuNi2: calculated XRD peak list (Cu Kα (λ = 1.5418 Å)), based on a crystal structure in OQMD, relaxed with GGA-PBE.
Kinematic intensities with the Lorentz-polarization factor, no thermal factor.

Crystal structure
abc: 3.8137 7.4248 7.4248
angles: 120.00 90.00 90.00
Fractional coordinates of all 9 atoms:
Ho1 0.0000 0.2063 0.7937
Ho2 0.0000 0.7937 0.2063
Er1 0.0000 0.3811 0.3811
In1 0.5000 0.0522 0.0522
In2 0.5000 0.5353 0.7935
In3 0.5000 0.7935 0.5353
Cu1 0.0000 0.7935 0.7935
Ni1 0.5000 0.1272 0.4603
Ni2 0.5000 0.4603 0.1272

Principal peaks in the range 10 to 80 degrees two-theta, by angle:
2θ 33.69, rel. 100
2θ 36.56, rel. 76
2θ 36.99, rel. 51
2θ 42.16, rel. 23
2θ 57.01, rel. 23
2θ 68.16, rel. 25

***

5.
LaNd2Sn4Pb3: calculated XRD peak list (Cu Kα (λ = 1.5418 Å)), based on a crystal structure in OQMD, relaxed with GGA-PBE.
Kinematic intensities with the Lorentz-polarization factor, no thermal factor.

Crystal structure
abc: 13.2006 13.2006 4.8064
angles: 90.00 90.00 159.75
Fractional coordinates of all 10 atoms:
La1 0.0000 0.0000 0.0000
Nd1 0.1885 0.8115 0.0000
Nd2 0.8115 0.1885 0.0000
Sn1 0.2903 0.7097 0.5000
Sn2 0.4027 0.5973 0.0000
Sn3 0.5973 0.4027 0.0000
Sn4 0.7097 0.2903 0.5000
Pb1 0.0988 0.9012 0.5000
Pb2 0.5000 0.5000 0.5000
Pb3 0.9012 0.0988 0.5000

Principal peaks in the range 10 to 80 degrees two-theta, by angle:
2θ 31.86, rel. 100
2θ 34.51, rel. 18
2θ 37.42, rel. 17
2θ 38.81, rel. 15
2θ 60.17, rel. 13
2θ 64.04, rel. 14

***

6.
Pr2SiPt: calculated XRD peak list (Cu Kα (λ = 1.5418 Å)), based on a crystal structure in OQMD, relaxed with GGA-PBE.
Kinematic intensities with the Lorentz-polarization factor, no thermal factor.

Crystal structure
abc: 4.2823 5.8700 7.9329
angles: 90.00 90.00 90.00
Fractional coordinates of all 8 atoms:
Pr1 0.0000 0.1235 0.0000
Pr2 0.0000 0.8765 0.5000
Pr3 0.5000 0.3712 0.6426
Pr4 0.5000 0.6288 0.1426
Si1 0.0000 0.3720 0.3556
Si2 0.0000 0.6280 0.8556
Pt1 0.5000 0.1250 0.2833
Pt2 0.5000 0.8750 0.7833

Principal peaks in the range 10 to 80 degrees two-theta, by angle:
2θ 28.14, rel. 67
2θ 30.72, rel. 100
2θ 32.53, rel. 83
2θ 34.40, rel. 86
2θ 37.30, rel. 51
2θ 38.89, rel. 98

***

7.
BaReH9: calculated XRD peak list (Cu Kα (λ = 1.5418 Å)), based on a crystal structure in OQMD, relaxed with GGA-PBE.
Kinematic intensities with the Lorentz-polarization factor, no thermal factor.

Crystal structure
abc: 6.8475 6.8475 7.4003
angles: 90.00 90.00 120.00
Fractional coordinates of all 33 atoms:
Ba1 0.0000 0.0000 0.0000
Ba2 0.3333 0.6667 0.3295
Ba3 0.6667 0.3333 0.6642
Re1 0.0000 0.0000 0.5023
Re2 0.3333 0.6667 0.8292
Re3 0.6667 0.3333 0.1639
H1 0.0099 0.2503 0.5004
H2 0.0095 0.8294 0.3385
H3 0.0880 0.4209 0.8290
H4 0.1488 0.6481 0.6652
H5 0.1665 0.6844 0.9926
H6 0.1706 0.1801 0.3385
H7 0.1885 0.1619 0.6659
H8 0.2404 0.9901 0.5004
H9 0.3156 0.4821 0.9926
H10 0.3329 0.9120 0.8290
H11 0.3519 0.5008 0.6652
H12 0.4236 0.0850 0.1642
H13 0.4802 0.3115 0.9999
H14 0.4976 0.3462 0.3270
H15 0.4992 0.8512 0.6652
H16 0.5179 0.8335 0.9926
H17 0.5791 0.6671 0.8290
H18 0.6538 0.1514 0.3270
H19 0.6614 0.5764 0.1642
H20 0.6885 0.1687 0.9999
H21 0.7497 0.7596 0.5004
H22 0.8199 0.9905 0.3385
H23 0.8313 0.5198 0.9999
H24 0.8381 0.0266 0.6659
H25 0.8486 0.5024 0.3270
H26 0.9150 0.3386 0.1642
H27 0.9734 0.8115 0.6659

Principal peaks in the range 10 to 80 degrees two-theta, by angle:
2θ 26.03, rel. 100
2θ 28.43, rel. 80
2θ 38.92, rel. 34
2θ 45.91, rel. 22
2θ 47.42, rel. 40
2θ 61.72, rel. 18

***

8.
Gd2CuAg3: calculated XRD peak list (Cu Kα (λ = 1.5418 Å)), based on a crystal structure in OQMD, relaxed with GGA-PBE.
Kinematic intensities with the Lorentz-polarization factor, no thermal factor.

Crystal structure
abc: 3.7209 3.7209 9.2063
angles: 90.00 90.00 90.00
Fractional coordinates of all 6 atoms:
Gd1 0.0000 0.0000 0.0000
Gd2 0.5000 0.5000 0.4858
Cu1 0.5000 0.5000 0.1582
Ag1 0.0000 0.0000 0.3169
Ag2 0.0000 0.0000 0.6638
Ag3 0.5000 0.5000 0.8242

Principal peaks in the range 10 to 80 degrees two-theta, by angle:
2θ 25.83, rel. 8
2θ 34.08, rel. 69
2θ 38.01, rel. 100
2θ 48.96, rel. 24
2θ 63.61, rel. 42
2θ 71.13, rel. 14

***

9.
Co8Ni7: calculated XRD peak list (Cu Kα (λ = 1.5418 Å)), based on a crystal structure in OQMD, relaxed with GGA-PBE.
Kinematic intensities with the Lorentz-polarization factor, no thermal factor.

Crystal structure
abc: 8.5716 8.5716 4.4820
angles: 90.00 90.00 90.00
Fractional coordinates of all 30 atoms:
Co1 0.0678 0.2624 0.0000
Co2 0.1819 0.8181 0.2501
Co3 0.1819 0.8181 0.7499
Co4 0.2376 0.5678 0.5000
Co5 0.2624 0.0678 0.0000
Co6 0.3181 0.3181 0.2499
Co7 0.3181 0.3181 0.7501
Co8 0.4322 0.7624 0.5000
Co9 0.5678 0.2376 0.5000
Co10 0.6819 0.6819 0.2499
Co11 0.6819 0.6819 0.7501
Co12 0.7376 0.9322 0.0000
Co13 0.7624 0.4322 0.5000
Co14 0.8181 0.1819 0.2501
Co15 0.8181 0.1819 0.7499
Co16 0.9322 0.7376 0.0000
Ni1 0.0000 0.0000 0.0000
Ni2 0.0369 0.3683 0.5000
Ni3 0.0996 0.0996 0.5000
Ni4 0.1317 0.5369 0.0000
Ni5 0.3683 0.0369 0.5000
Ni6 0.4004 0.5996 0.0000
Ni7 0.4631 0.8683 0.0000
Ni8 0.5000 0.5000 0.5000
Ni9 0.5369 0.1317 0.0000
Ni10 0.5996 0.4004 0.0000
Ni11 0.6317 0.9631 0.5000
Ni12 0.8683 0.4631 0.0000
Ni13 0.9004 0.9004 0.5000
Ni14 0.9631 0.6317 0.5000

Principal peaks in the range 10 to 80 degrees two-theta, by angle:
2θ 43.53, rel. 86
2θ 44.86, rel. 38
2θ 45.69, rel. 35
2θ 46.97, rel. 66
2θ 48.26, rel. 100
2θ 49.49, rel. 49

***

10.
YBPd: calculated XRD peak list (Cu Kα (λ = 1.5418 Å)), based on a crystal structure in OQMD, relaxed with GGA-PBE.
Kinematic intensities with the Lorentz-polarization factor, no thermal factor.

Crystal structure
abc: 5.9292 5.9292 5.9292
angles: 90.00 90.00 90.00
Fractional coordinates of all 12 atoms:
Y1 0.0000 0.0000 0.0000
Y2 0.0000 0.5000 0.5000
Y3 0.5000 0.0000 0.5000
Y4 0.5000 0.5000 0.0000
B1 0.2500 0.2500 0.7500
B2 0.2500 0.7500 0.2500
B3 0.7500 0.2500 0.2500
B4 0.7500 0.7500 0.7500
Pd1 0.0000 0.0000 0.5000
Pd2 0.0000 0.5000 0.0000
Pd3 0.5000 0.0000 0.0000
Pd4 0.5000 0.5000 0.5000

Principal peaks in the range 10 to 80 degrees two-theta, by angle:
2θ 30.14, rel. 100
2θ 43.15, rel. 86
2θ 53.54, rel. 26
2θ 62.68, rel. 14
2θ 71.11, rel. 33
2θ 79.13, rel. 28

***

11.
Ba2InTcO6: calculated XRD peak list (Cu Kα (λ = 1.5418 Å)), based on a crystal structure in OQMD, relaxed with GGA-PBE.
Kinematic intensities with the Lorentz-polarization factor, no thermal factor.

Crystal structure
abc: 5.8292 5.8329 8.2552
angles: 90.02 90.00 90.03
Fractional coordinates of all 20 atoms:
Ba1 0.9998 0.9997 0.2500
Ba2 0.0002 0.0003 0.7500
Ba3 0.4999 0.4999 0.2499
Ba4 0.5001 0.5001 0.7501
In1 0.0000 0.5000 0.0000
In2 0.5000 0.0000 0.5000
Tc1 0.0000 0.5000 0.5000
Tc2 0.5000 0.0000 0.0000
O1 0.0007 0.4998 0.2608
O2 0.2353 0.2568 0.5002
O3 0.2444 0.7355 0.5008
O4 0.2579 0.7629 0.9993
O5 0.2627 0.2415 0.9996
O6 0.4989 0.0000 0.2392
O7 0.5011 0.0000 0.7608
O8 0.7373 0.7585 0.0004
O9 0.7421 0.2371 0.0007
O10 0.7556 0.2645 0.4992
O11 0.7647 0.7432 0.4998
O12 0.9993 0.5002 0.7392

Principal peaks in the range 10 to 80 degrees two-theta, by angle:
2θ 30.65, rel. 100
2θ 37.78, rel. 4
2θ 43.90, rel. 30
2θ 54.49, rel. 39
2θ 63.83, rel. 18
2θ 72.45, rel. 14

***

12.
PrAg2BiSe2O2: calculated XRD peak list (Cu Kα (λ = 1.5418 Å)), based on a crystal structure in OQMD, relaxed with GGA-PBE.
Kinematic intensities with the Lorentz-polarization factor, no thermal factor.

Crystal structure
abc: 4.0630 4.0630 9.4174
angles: 90.00 90.00 90.00
Fractional coordinates of all 8 atoms:
Pr1 0.0000 0.0000 0.0000
Ag1 0.0000 0.5000 0.6310
Ag2 0.5000 0.0000 0.6310
Bi1 0.5000 0.5000 0.2588
Se1 0.0000 0.0000 0.4338
Se2 0.5000 0.5000 0.8372
O1 0.0000 0.5000 0.1326
O2 0.5000 0.0000 0.1326

Principal peaks in the range 10 to 80 degrees two-theta, by angle:
2θ 29.03, rel. 100
2θ 32.59, rel. 57
2θ 36.64, rel. 47
2θ 44.60, rel. 47
2θ 50.09, rel. 34
2θ 54.10, rel. 36